This entry pairs a crystal structure of Cs2TbInF6 with its simulated powder diffraction line list. Radiation: Cu Kα X-rays. Structure: a structure optimized by DFT (PBE).
Neutral-atom scattering factors, no anomalous dispersion.

Crystal structure
Lattice parameters (Å, degrees): 6.9052 6.8653 11.8796 90.00 125.19 90.00
Space group P2_1/c (No. 14)
Symmetry-distinct sites (fractional):
Cs: 0.2447 0.0204 0.2493 [4 per cell]
Tb: 0.0000 0.0000 0.5000 [2 per cell]
In: 0.5000 0.0000 0.0000 [2 per cell]
F: 0.1570 0.2491 0.9628 [4 per cell]
F: 0.2128 0.6996 0.9659 [4 per cell]
F: 0.2884 0.0149 0.7222 [4 per cell]

Peak list (10 most intense, 2θ = 10–90°, by intensity)
25.84 deg, I = 100; 25.97 deg, I = 99; 36.93 deg, I = 40; 45.80 deg, I = 36; 45.70 deg, I = 29; 45.50 deg, I = 24; 37.04 deg, I = 20; 60.20 deg, I = 19; 53.41 deg, I = 18; 60.01 deg, I = 13

***

This entry pairs a crystal structure of Ni2S with its simulated powder diffraction line list. Radiation: Cu Kα X-rays. Structure: a structure optimized by DFT (PBE).
Neutral-atom scattering factors, no anomalous dispersion.

Crystal structure
Lattice parameters (Å, degrees): 6.0673 4.9847 5.0428 90.00 96.78 90.00
Space group Cc (No. 9)
Symmetry-distinct sites (fractional):
Ni: 0.0000 0.0646 0.0000 [4 per cell]
Ni: 0.4202 0.0794 0.1399 [4 per cell]
S: 0.2617 0.2767 0.7742 [4 per cell]

Peak list (10 most intense, 2θ = 10–90°, by intensity)
41.55 deg, I = 100; 29.66 deg, I = 87; 40.43 deg, I = 84; 50.04 deg, I = 55; 47.34 deg, I = 53; 52.29 deg, I = 46; 58.42 deg, I = 39; 48.89 deg, I = 35; 50.36 deg, I = 32; 28.20 deg, I = 32

***

This entry pairs a crystal structure of BaMg7 with its simulated powder diffraction line list. Radiation: Cu Kα X-rays. Structure: a structure optimized by DFT (PBE).
Neutral-atom scattering factors, no anomalous dispersion.

Crystal structure
Lattice parameters (Å, degrees): 6.9635 6.9635 5.3001 90.00 90.00 120.00
Space group P-6m2 (No. 187)
Symmetry-distinct sites (fractional):
Ba: 0.0000 0.0000 0.0000 [1 per cell]
Mg: 0.0122 0.5061 0.0000 [3 per cell]
Mg: 0.1826 0.3652 0.5000 [3 per cell]
Mg: 0.6667 0.3333 0.5000 [1 per cell]

Peak list (10 most intense, 2θ = 10–90°, by intensity)
34.21 deg, I = 100; 22.33 deg, I = 52; 14.69 deg, I = 48; 29.63 deg, I = 32; 33.82 deg, I = 23; 30.72 deg, I = 19; 45.57 deg, I = 19; 63.99 deg, I = 19; 60.76 deg, I = 18; 52.57 deg, I = 17

***

This entry pairs a crystal structure of PrDyO4 with its simulated powder diffraction line list. Radiation: Cu Kα X-rays. Structure: a structure optimized by DFT (PBE).
Neutral-atom scattering factors, no anomalous dispersion.

Crystal structure
Lattice parameters (Å, degrees): 6.7020 3.9649 6.4391 90.00 97.74 90.00
Space group Cm (No. 8)
Symmetry-distinct sites (fractional):
Pr: 0.0000 0.0000 0.0000 [2 per cell]
Dy: 0.1085 0.5000 0.5396 [2 per cell]
O: 0.1502 0.5000 0.8985 [2 per cell]
O: 0.2180 0.0000 0.3496 [2 per cell]
O: 0.3832 0.0000 0.2117 [2 per cell]
O: 0.4518 0.5000 0.6150 [2 per cell]

Peak list (10 most intense, 2θ = 10–90°, by intensity)
28.86 deg, I = 100; 27.97 deg, I = 45; 30.61 deg, I = 37; 26.85 deg, I = 33; 48.90 deg, I = 28; 47.01 deg, I = 23; 32.02 deg, I = 21; 45.77 deg, I = 20; 36.33 deg, I = 16; 47.53 deg, I = 15

***

This entry pairs a crystal structure of K9Sm3Si12O32F2 with its simulated powder diffraction line list. Radiation: Cu Kα X-rays. Structure: a structure optimized by DFT (PBE).
Neutral-atom scattering factors, no anomalous dispersion.

Crystal structure
Lattice parameters (Å, degrees): 6.9976 11.5569 11.6293 87.71 89.58 80.21
Space group P-1 (No. 2)
Symmetry-distinct sites (fractional):
K: 0.0000 0.0000 0.0000 [1 per cell]
K: 0.2282 0.3833 0.9821 [2 per cell]
K: 0.3325 0.1897 0.2212 [2 per cell]
K: 0.3338 0.1505 0.7867 [2 per cell]
K: 0.4836 0.6701 0.4912 [2 per cell]
Sm: 0.0150 0.5120 0.6655 [2 per cell]
Sm: 0.5000 0.0000 0.5000 [1 per cell]
Si: 0.0543 0.2318 0.5109 [2 per cell]
Si: 0.1564 0.9090 0.3035 [2 per cell]
Si: 0.1602 0.8640 0.6897 [2 per cell]
Si: 0.1902 0.6957 0.1590 [2 per cell]
Si: 0.2153 0.6675 0.8818 [2 per cell]
Si: 0.4825 0.4846 0.2558 [2 per cell]
O: 0.0030 0.6494 0.2113 [2 per cell]
O: 0.0078 0.7928 0.6248 [2 per cell]
O: 0.0278 0.3745 0.5154 [2 per cell]
O: 0.0419 0.9945 0.7255 [2 per cell]
O: 0.0451 0.6016 0.8418 [2 per cell]
O: 0.1134 0.8156 0.4067 [2 per cell]
O: 0.1923 0.8358 0.1832 [2 per cell]
O: 0.2040 0.6898 0.0192 [2 per cell]
O: 0.2131 0.7976 0.8172 [2 per cell]
O: 0.2695 0.1646 0.5417 [2 per cell]
O: 0.3113 0.4222 0.3104 [2 per cell]
O: 0.3417 0.9668 0.3312 [2 per cell]
O: 0.3444 0.5108 0.6541 [2 per cell]
O: 0.3535 0.8736 0.6191 [2 per cell]
O: 0.3999 0.6232 0.2099 [2 per cell]
O: 0.4338 0.5870 0.8622 [2 per cell]
F: 0.2559 0.1556 0.0043 [2 per cell]

Peak list (10 most intense, 2θ = 10–90°, by intensity)
26.97 deg, I = 100; 26.39 deg, I = 93; 27.89 deg, I = 80; 29.12 deg, I = 67; 17.66 deg, I = 66; 32.41 deg, I = 65; 15.61 deg, I = 64; 28.34 deg, I = 53; 32.13 deg, I = 53; 30.11 deg, I = 52

***

This entry pairs a crystal structure of Er2Ga2Ag3 with its simulated powder diffraction line list. Radiation: Cu Kα X-rays. Structure: a structure optimized by DFT (PBE).
Neutral-atom scattering factors, no anomalous dispersion.

Crystal structure
Lattice parameters (Å, degrees): 4.1656 19.4872 3.5413 90.00 90.00 90.00
Space group Cmmm (No. 65)
Symmetry-distinct sites (fractional):
Er: 0.0000 0.1566 0.0000 [4 per cell]
Ga: 0.0000 0.2868 0.5000 [4 per cell]
Ag: 0.0000 0.0000 0.0000 [2 per cell]
Ag: 0.0000 0.4293 0.5000 [4 per cell]

Peak list (10 most intense, 2θ = 10–90°, by intensity)
33.53 deg, I = 100; 38.91 deg, I = 67; 37.58 deg, I = 54; 58.77 deg, I = 28; 43.45 deg, I = 28; 66.48 deg, I = 26; 36.05 deg, I = 18; 51.62 deg, I = 17; 72.08 deg, I = 16; 69.70 deg, I = 13

***

This entry pairs a crystal structure of K3SbS4 with its simulated powder diffraction line list. Radiation: Cu Kα X-rays. Structure: a structure optimized by DFT (PBE).
Neutral-atom scattering factors, no anomalous dispersion.

Crystal structure
Lattice parameters (Å, degrees): 10.8725 11.5523 7.8233 90.00 90.00 90.00
Space group Cmc2_1 (No. 36)
Symmetry-distinct sites (fractional):
K: 0.0000 0.1953 0.0000 [4 per cell]
K: 0.2195 0.4635 0.9943 [8 per cell]
Sb: 0.0000 0.2573 0.4993 [4 per cell]
S: 0.0000 0.0741 0.6370 [4 per cell]
S: 0.0000 0.4070 0.7076 [4 per cell]
S: 0.1777 0.2744 0.3261 [8 per cell]

Peak list (10 most intense, 2θ = 10–90°, by intensity)
32.17 deg, I = 100; 15.93 deg, I = 97; 22.46 deg, I = 41; 27.08 deg, I = 36; 28.22 deg, I = 29; 15.34 deg, I = 28; 22.73 deg, I = 27; 32.95 deg, I = 26; 16.31 deg, I = 25; 52.16 deg, I = 21

***

This entry pairs a crystal structure of ZrCrMo with its simulated powder diffraction line list. Radiation: Cu Kα X-rays. Structure: a structure optimized by DFT (PBE).
Neutral-atom scattering factors, no anomalous dispersion.

Crystal structure
Lattice parameters (Å, degrees): 3.1797 4.7541 13.1010 90.00 90.00 90.00
Space group Fmm2 (No. 42)
Symmetry-distinct sites (fractional):
Zr: 0.0000 0.0000 0.0000 [4 per cell]
Cr: 0.0000 0.0000 0.3295 [4 per cell]
Mo: 0.0000 0.0000 0.6869 [4 per cell]

Peak list (10 most intense, 2θ = 10–90°, by intensity)
39.87 deg, I = 100; 37.85 deg, I = 30; 41.35 deg, I = 20; 69.71 deg, I = 18; 57.29 deg, I = 14; 85.99 deg, I = 12; 74.40 deg, I = 10; 27.23 deg, I = 9; 71.37 deg, I = 9; 58.01 deg, I = 8

***

This entry pairs a crystal structure of Ac2TbSmEr with its simulated powder diffraction line list. Radiation: Cu Kα X-rays. Structure: a structure optimized by DFT (PBE).
Neutral-atom scattering factors, no anomalous dispersion.

Crystal structure
Lattice parameters (Å, degrees): 6.4189 8.9693 6.7065 90.00 90.00 90.00
Space group Pmma (No. 51)
Symmetry-distinct sites (fractional):
Ac: 0.2500 0.2039 0.2107 [4 per cell]
Tb: 0.2500 0.0000 0.6822 [2 per cell]
Sm: 0.2500 0.5000 0.9172 [2 per cell]
Er: 0.0000 0.5000 0.5000 [2 per cell]

Peak list (10 most intense, 2θ = 10–90°, by intensity)
27.67 deg, I = 100; 28.42 deg, I = 29; 27.80 deg, I = 25; 35.73 deg, I = 24; 32.50 deg, I = 22; 49.09 deg, I = 21; 38.84 deg, I = 21; 31.72 deg, I = 20; 33.36 deg, I = 20; 43.51 deg, I = 18